Starting from a structure optimized by DFT (GGA+U), the powder diffractogram of LiPrMo2O8 was computed for Cu Kα, 1.54184 Å.

The 10 most intense peaks (2θ from 15° to 90°), most intense first:
| 2θ (°) | d (Å) | I (rel.) | h k l |
| --- | --- | --- | --- |
| 27.67 | 3.223 | 100 | 1 1 1 |
| 29.65 | 3.013 | 72 | 1 1 -3 |
| 20.20 | 4.395 | 36 | 1 0 -2 |
| 18.78 | 4.725 | 32 | 1 0 0 |
| 29.77 | 3.002 | 30 | 0 1 3 |
| 16.88 | 5.253 | 29 | 0 1 1 |
| 22.54 | 3.944 | 28 | 0 1 2 |
| 29.30 | 3.049 | 22 | 0 2 0 |
| 48.10 | 1.891 | 21 | 0 3 2 |
| 34.33 | 2.612 | 19 | 1 2 -1 |

Structural model:
```
LiPrMo2O8
1.0
5.0890 0.0000 0.0000
0.0000 6.0972 0.0000
-4.1395 0.0000 10.3451
Li Pr Mo O
2 2 4 16
Cartesian
-1.0349 1.2842 2.5863 Li
-3.1046 4.8129 7.7588 Li
-0.5601 1.7999 7.7588 Pr
1.5096 4.2973 2.5863 Pr
1.2472 1.0796 0.2764 Mo
-0.8226 5.0176 5.4490 Mo
1.7721 1.0796 4.8961 Mo
-0.2976 5.0176 10.0687 Mo
-1.7859 0.6494 6.1384 O
0.2838 5.4478 0.9659 O
0.5114 2.1854 1.4779 O
-1.5584 3.9118 6.6504 O
-2.2396 2.2213 9.3955 O
-0.1699 3.8759 4.2230 O
0.2979 0.4496 3.9518 O
-1.7718 5.6476 9.1244 O
2.7214 0.4496 1.2207 O
0.6516 5.6476 6.3933 O
1.1194 2.2213 6.1221 O
3.1892 3.8759 0.9495 O
2.5079 2.1854 3.6947 O
0.4382 3.9118 8.8672 O
0.6658 0.6494 9.3792 O
2.7355 5.4478 4.2067 O
```